Starting from a GGA-PBE-relaxed structure, the powder X-ray diffraction pattern of ScTiRuO6 was computed for a wavelength of 1.5418 Å.

Largest 12 diffraction maxima, by angle, 10 to 90 degrees two-theta:
- 4.635 Å, 2θ = 19.15°, I 41, (0 0 2)
- 4.387 Å, 2θ = 20.24°, I 9, (1 0 0)
- 3.965 Å, 2θ = 22.42°, I 27, (1 0 1)
- 3.186 Å, 2θ = 28.00°, I 100, (1 0 2)
- 2.532 Å, 2θ = 35.46°, I 46, (1 1 0)
- 2.223 Å, 2θ = 40.59°, I 41, (1 1 2)
- 1.983 Å, 2θ = 45.76°, I 24, (2 0 2)
- 1.710 Å, 2θ = 53.60°, I 61, (1 1 4)
- 1.561 Å, 2θ = 59.18°, I 21, (2 1 2)
- 1.462 Å, 2θ = 63.64°, I 26, (3 0 0)
- 1.457 Å, 2θ = 63.87°, I 8, (1 0 6)
- 1.111 Å, 2θ = 87.85°, I 12, (4 -2 4)

Crystal structure
Unit cell a=5.065 b=5.065 c=9.271 alpha=90.00 beta=90.00 gamma=120.00
Element x y z (fractional)
Sc: 0.000 0.000 0.000
Sc: 0.000 0.000 0.500
Ti: 0.333 0.667 0.250
Ti: 0.667 0.333 0.750
Ru: 0.333 0.667 0.750
Ru: 0.667 0.333 0.250
O: 0.000 0.346 0.134
O: 0.000 0.346 0.634
O: 0.000 0.654 0.366
O: 0.000 0.654 0.866
O: 0.346 0.000 0.134
O: 0.346 0.000 0.634
O: 0.346 0.346 0.366
O: 0.346 0.346 0.866
O: 0.654 0.000 0.366
O: 0.654 0.000 0.866
O: 0.654 0.654 0.134
O: 0.654 0.654 0.634